1.
Diffraction record for Co7NiPd12. The XRD peak list is computed, not measured: it uses a cell relaxed with PBE and Cu Kα (weighted mean of Kα1 and Kα2).
Peak positions follow from Bragg's law for the DFT cell and can differ from measured ones.

Structure:
```
Co7NiPd12
1.0
5.3273 3.0757 2.8520
-5.3273 3.0757 2.8520
0.0000 -6.1515 2.8520
Co Ni Pd
7 1 12
Direct
0.0000 0.0000 0.0000
0.1850 0.5811 0.5802
0.4189 0.4198 0.8150
0.4198 0.8150 0.4189
0.5802 0.1850 0.5811
0.5811 0.5802 0.1850
0.8150 0.4189 0.4198
0.5000 0.5000 0.5000
0.0012 0.7388 0.2619
0.1705 0.1721 0.4231
0.1721 0.4231 0.1705
0.2612 0.7381 0.9988
0.2619 0.0012 0.7388
0.4231 0.1705 0.1721
0.5769 0.8295 0.8279
0.7381 0.9988 0.2612
0.7388 0.2619 0.0012
0.8279 0.5769 0.8295
0.8295 0.8279 0.5769
0.9988 0.2612 0.7381
```

Peak list (10 most intense, 2θ from 15° to 90°, by angle)
2theta  d [Å]  intensity
21.9  4.061  9.6
40.5  2.227  100.0
41.1  2.196  48.3
43.3  2.091  52.3
43.4  2.084  35.8
44.1  2.055  10.4
44.6  2.030  47.3
70.7  1.332  20.2
77.1  1.237  19.3
87.6  1.114  10.0

=====

2.
Diffraction record for YHoFeNi. The XRD peak list is computed, not measured: it uses a cell relaxed with PBE and Cu Kα (weighted mean of Kα1 and Kα2).
Peak positions follow from Bragg's law for the DFT cell and can differ from measured ones.

Structure:
```
YHoFeNi
1.0
0.0000 3.3494 3.3494
3.3494 0.0000 3.3494
3.3494 3.3494 0.0000
Y Ho Fe Ni
1 1 1 1
Direct
0.0000 0.0000 0.0000
0.5000 0.5000 0.5000
0.2500 0.2500 0.2500
0.7500 0.7500 0.7500
```

Peak list (10 most intense, 2θ from 15° to 90°, by angle)
2theta  d [Å]  intensity
23.0  3.868  8.5
26.6  3.349  14.7
38.0  2.368  100.0
44.9  2.020  4.8
47.0  1.934  4.4
54.8  1.675  16.8
62.0  1.498  6.1
68.6  1.367  33.3
81.2  1.184  10.3
87.3  1.116  3.2